Structure and theoretical XRD peak list of La3Si4Ni4 (a structure optimized by DFT (GGA-PBE); Cu Kα (λ = 1.5418 Å)).

Crystal structure
a b c (Å): 12.1553 12.1553 12.1553
angles (deg): 160.49 160.24 27.91
Positions (direct):
La  0.0000  0.0000  0.0000
La  0.1500  0.6500  0.5000
La  0.8500  0.3500  0.5000
Si  0.2991  0.7991  0.5000
Si  0.4482  0.4482  0.0000
Si  0.5518  0.5518  0.0000
Si  0.7009  0.2009  0.5000
Ni  0.2485  0.2485  0.0000
Ni  0.4004  0.9004  0.5000
Ni  0.5996  0.0996  0.5000
Ni  0.7515  0.7515  0.0000

The 10 most intense peaks (10° ≤ 2θ ≤ 90°), sorted by position:
2θ/deg  I/Imax
24.39  18
34.17  100
40.80  15
43.38  16
43.97  16
56.85  13
61.06  9
63.47  10
71.64  9
73.67  10